This entry pairs a crystal structure of PmPd5Pt2 with its theoretical X-ray diffraction stick pattern. Radiation: Cu Kα (λ = 1.5418 Å). Structure: a structure optimized by DFT (GGA-PBE).
Lines closer than 0.1° are merged.

Most intense lines, 10 to 90 degrees two-theta, sorted by position:
- 2.824 Å, 2θ 31.68, intensity 50
- 2.657 Å, 2θ 33.73, intensity 46
- 2.478 Å, 2θ 36.25, intensity 100
- 2.174 Å, 2θ 41.54, intensity 56
- 2.058 Å, 2θ 44.00, intensity 53
- 1.983 Å, 2θ 45.76, intensity 63
- 1.941 Å, 2θ 46.80, intensity 39
- 1.412 Å, 2θ 66.18, intensity 31

Structure:
a b c (Å): 3.882 7.873 9.656
angles (deg): 90.00 90.00 90.00
Space group Immm (No. 71)
Inequivalent atoms, fractional coordinates:
Pm1 0.000 0.000 0.000 x2
Pd1 0.000 0.182 0.355 x8
Pd2 0.000 0.500 0.000 x2
Pt1 0.000 0.500 0.277 x4

This entry pairs a crystal structure of TmCu5Hg with its theoretical X-ray diffraction stick pattern. Radiation: Cu Kα (λ = 1.5418 Å). Structure: a structure optimized by DFT (GGA-PBE).
Lines closer than 0.1° are merged.

Most intense lines, 10 to 90 degrees two-theta, sorted by position:
- 2.866 Å, 2θ 31.21, intensity 49
- 2.499 Å, 2θ 35.93, intensity 85
- 2.352 Å, 2θ 38.26, intensity 67
- 2.345 Å, 2θ 38.38, intensity 100
- 2.094 Å, 2θ 43.21, intensity 45
- 2.023 Å, 2θ 44.81, intensity 79
- 1.974 Å, 2θ 45.97, intensity 47
- 1.412 Å, 2θ 66.19, intensity 47

Structure:
a b c (Å): 8.237 4.998 10.495
angles (deg): 90.00 90.00 90.00
Space group Pnma (No. 62)
Inequivalent atoms, fractional coordinates:
Tm1 0.248 0.250 0.068 x4
Cu1 0.054 0.750 0.107 x4
Cu2 0.069 0.001 0.314 x8
Cu3 0.083 0.250 0.517 x4
Cu4 0.187 0.250 0.740 x4
Hg1 0.133 0.750 0.865 x4

This entry pairs a crystal structure of Ca3TlPb12 with its theoretical X-ray diffraction stick pattern. Radiation: Cu Kα (λ = 1.5418 Å). Structure: a structure optimized by DFT (GGA-PBE).
Lines closer than 0.1° are merged.

Most intense lines, 10 to 90 degrees two-theta, sorted by position:
- 2.866 Å, 2θ 31.21, intensity 100
- 2.503 Å, 2θ 35.88, intensity 17
- 2.472 Å, 2θ 36.34, intensity 34
- 1.759 Å, 2θ 52.00, intensity 24
- 1.506 Å, 2θ 61.60, intensity 14
- 1.492 Å, 2θ 62.21, intensity 29
- 1.433 Å, 2θ 65.09, intensity 12
- 1.141 Å, 2θ 85.03, intensity 12

Structure:
a b c (Å): 4.944 4.944 20.020
angles (deg): 90.00 90.00 90.00
Space group P4/mmm (No. 123)
Inequivalent atoms, fractional coordinates:
Ca1 0.000 0.000 0.000 x1
Ca2 0.000 0.000 0.243 x2
Tl1 0.000 0.000 0.500 x1
Pb1 0.000 0.500 0.123 x4
Pb2 0.000 0.500 0.372 x4
Pb3 0.500 0.500 0.000 x1
Pb4 0.500 0.500 0.250 x2
Pb5 0.500 0.500 0.500 x1

This entry pairs a crystal structure of K2Tl3 with its theoretical X-ray diffraction stick pattern. Radiation: Cu Kα (λ = 1.5418 Å). Structure: a structure optimized by DFT (GGA-PBE).
Lines closer than 0.1° are merged.

Most intense lines, 10 to 90 degrees two-theta, sorted by position:
- 7.103 Å, 2θ 12.46, intensity 46
- 3.322 Å, 2θ 26.84, intensity 18
- 3.104 Å, 2θ 28.77, intensity 100
- 2.841 Å, 2θ 31.49, intensity 24
- 2.625 Å, 2θ 34.16, intensity 61
- 1.924 Å, 2θ 47.24, intensity 26
- 1.795 Å, 2θ 50.86, intensity 17
- 1.593 Å, 2θ 57.88, intensity 25

Structure:
a b c (Å): 3.8478 3.8478 42.6188
angles (deg): 90.00 90.00 120.00
Space group R-3m (No. 166, hexagonal axes)
Inequivalent atoms, fractional coordinates:
K1 0.0000 0.0000 0.0959 x6
Tl1 0.0000 0.0000 0.3043 x6
Tl2 0.0000 0.0000 0.5000 x3

Please write out number 4 again, unchanged.
This entry pairs a crystal structure of K2Tl3 with its theoretical X-ray diffraction stick pattern. Radiation: Cu Kα (λ = 1.5418 Å). Structure: a structure optimized by DFT (GGA-PBE).
Lines closer than 0.1° are merged.

Most intense lines, 10 to 90 degrees two-theta, sorted by position:
- 7.103 Å, 2θ 12.46, intensity 46
- 3.322 Å, 2θ 26.84, intensity 18
- 3.104 Å, 2θ 28.77, intensity 100
- 2.841 Å, 2θ 31.49, intensity 24
- 2.625 Å, 2θ 34.16, intensity 61
- 1.924 Å, 2θ 47.24, intensity 26
- 1.795 Å, 2θ 50.86, intensity 17
- 1.593 Å, 2θ 57.88, intensity 25

Structure:
a b c (Å): 3.8478 3.8478 42.6188
angles (deg): 90.00 90.00 120.00
Space group R-3m (No. 166, hexagonal axes)
Inequivalent atoms, fractional coordinates:
K1 0.0000 0.0000 0.0959 x6
Tl1 0.0000 0.0000 0.3043 x6
Tl2 0.0000 0.0000 0.5000 x3